# 1
Theoretical X-ray diffraction stick pattern
Compound: LiMn2O4
Radiation: Cu Kα (λ = 1.5418 Å)
Structure: a PBE+U-relaxed structure
Kinematic intensities with the Lorentz-polarization factor, no thermal factor.

Structure:
```
14
Lattice="0.000 4.211 4.211 4.211 0.000 4.211 4.211 4.211 0.000" Properties=species:S:1:pos:R:3 pbc="T T T"
Li 1.053 1.053 1.053
Li 7.370 7.370 7.370
Mn 4.211 2.106 2.106
Mn 2.106 4.211 2.106
Mn 2.106 2.106 4.211
Mn 4.211 4.211 4.211
O 2.216 2.216 2.216
O 4.101 4.101 2.216
O 4.101 2.216 4.101
O 6.206 4.322 4.322
O 2.216 4.101 4.101
O 4.322 6.206 4.322
O 4.322 4.322 6.206
O 6.206 6.206 6.206
```

Principal peaks in the range 10 to 80 degrees two-theta, in order of falling intensity:
- 2θ 18.24, intensity 100
- 2θ 42.95, intensity 56
- 2θ 35.34, intensity 46
- 2θ 62.37, intensity 33
- 2θ 56.80, intensity 20
- 2θ 65.57, intensity 14
- 2θ 36.97, intensity 10
- 2θ 47.03, intensity 10
- 2θ 78.71, intensity 9
- 2θ 74.77, intensity 6

***

# 2
Theoretical X-ray diffraction stick pattern
Compound: MgMn5FeO12
Radiation: Cu Kα (λ = 1.5418 Å)
Structure: a PBE+U-relaxed structure
Kinematic intensities with the Lorentz-polarization factor, no thermal factor.

Structure:
```
19
Lattice="5.088 0.000 0.000 2.469 4.456 0.000 1.305 0.081 9.956" Properties=species:S:1:pos:R:3 pbc="T T T"
Mg 0.000 0.000 0.000
Mn 3.009 2.951 7.486
Mn 5.513 4.427 7.483
Mn 5.036 2.996 2.473
Mn 5.567 1.467 7.389
Mn 5.086 0.026 2.676
Fe 2.519 1.509 2.506
O 2.140 1.404 8.490
O 3.932 4.250 6.462
O 3.400 3.013 3.489
O 4.052 4.437 1.489
O 4.580 3.145 8.606
O 3.825 1.479 6.547
O 5.835 4.416 3.496
O 4.320 1.417 1.481
O 7.284 4.441 8.489
O 6.405 2.999 6.549
O 5.856 1.570 3.497
O 6.750 3.124 1.486
```

Principal peaks in the range 10 to 80 degrees two-theta, in order of falling intensity:
- 2θ 17.82, intensity 100
- 2θ 35.42, intensity 9
- 2θ 46.58, intensity 8
- 2θ 45.82, intensity 8
- 2θ 37.85, intensity 8
- 2θ 35.60, intensity 8
- 2θ 36.50, intensity 8
- 2θ 35.85, intensity 8
- 2θ 42.22, intensity 8
- 2θ 43.12, intensity 8